NaSm2PbO5: calculated powder diffraction line list (Cu Kα, 1.54184 Å), based on the PBE geometry in Alexandria.

The 8 most intense peaks (10° ≤ 2θ ≤ 90°), sorted by position:
2θ = 18.51°, d 4.794, I 62.6, (1 1 0); 2θ = 28.15°, d 3.170, I 43.0, (0 0 4); 2θ = 29.89°, d 2.989, I 100.0, (2 0 2); 2θ = 30.31°, d 2.949, I 38.4, (2 1 1); 2θ = 36.47°, d 2.464, I 45.9, (2 1 3); 2θ = 37.52°, d 2.397, I 22.8, (2 2 0); 2θ = 44.62°, d 2.031, I 48.5, (3 1 2); 2θ = 46.70°, d 1.945, I 24.6, (2 1 5)

Structure:
abc: 6.7797 6.7797 12.6791
angles: 90.00 90.00 90.00
Space group I4/mcm (No. 140)
Inequivalent atoms, fractional coordinates:
Na 0.0000 0.0000 0.2500 (multiplicity 4)
Sm 0.1760 0.3240 0.0000 (multiplicity 8)
Pb 0.0000 0.5000 0.2500 (multiplicity 4)
O 0.0000 0.0000 0.0000 (multiplicity 4)
O 0.1472 0.3528 0.3827 (multiplicity 16)

=====

Na2TcPbO6: calculated powder diffraction line list (Cu Kα, 1.54184 Å), based on the PBE geometry in Alexandria.

The 8 most intense peaks (10° ≤ 2θ ≤ 90°), sorted by position:
2θ = 21.77°, d 4.083, I 100.0, (0 1 2); 2θ = 30.64°, d 2.917, I 61.4, (1 0 4); 2θ = 31.30°, d 2.858, I 52.2, (1 1 0); 2θ = 44.37°, d 2.042, I 28.6, (0 2 4); 2θ = 49.50°, d 1.841, I 23.8, (2 -1 6); 2θ = 50.38°, d 1.811, I 19.0, (3 -2 2); 2θ = 55.30°, d 1.661, I 25.5, (3 -1 4); 2θ = 55.70°, d 1.650, I 16.2, (3 0 0)

Structure:
abc: 5.7162 5.7162 14.4449
angles: 90.00 90.00 120.00
Space group R3 (No. 146, hexagonal axes)
Inequivalent atoms, fractional coordinates:
Na 0.0000 0.0000 0.0000 (multiplicity 3)
Na 0.0000 0.0000 0.4987 (multiplicity 3)
Tc 0.0000 0.0000 0.2205 (multiplicity 3)
Pb 0.0000 0.0000 0.7360 (multiplicity 3)
O 0.0339 0.4146 0.9476 (multiplicity 9)
O 0.0805 0.6941 0.7943 (multiplicity 9)